No. 1
For HfMg14B, a DFT-relaxed cell (GGA-PBE, Alexandria) gives the theoretical PXRD pattern in this record (Cu Kα X-rays).
Kinematic intensities with the Lorentz-polarization factor, no thermal factor.

Peak list (12 most intense, 5 to 70 degrees two-theta, sorted by position)
| 2theta | I/Imax | h k l |
| --- | --- | --- |
| 8.70 | 1000 | 1 0 0 |
| 16.88 | 474 | 0 1 1 |
| 17.87 | 312 | 1 0 2 |
| 19.02 | 593 | 1 1 1 |
| 24.38 | 368 | 2 1 1 |
| 29.31 | 339 | 1 1 3 |
| 31.44 | 529 | 3 1 1 |
| 33.13 | 316 | 2 1 3 |
| 34.14 | 459 | 0 2 2 |
| 35.33 | 467 | 4 0 0 |
| 36.19 | 683 | 2 0 4 |
| 38.60 | 774 | 2 2 2 |

Structure:
```
data_HfMg14B
_chemical_formula_sum 'Hf2 Mg28 B2'
_symmetry_space_group_name_H-M 'A m m 2'
_symmetry_Int_Tables_number 38
_symmetry_space_group_name_Hall 'A 2 -2'
_cell_length_a 10.159
_cell_length_b 5.920
_cell_length_c 11.379
_cell_angle_alpha 90.00
_cell_angle_beta 90.00
_cell_angle_gamma 90.00
loop_
_atom_site_label
_atom_site_type_symbol
_atom_site_fract_x
_atom_site_fract_y
_atom_site_fract_z
_atom_site_occupancy
Hf1 Hf 0.000 0.000 0.000 1
Mg1 Mg 0.000 0.234 0.261 1
Mg2 Mg 0.168 0.000 0.602 1
Mg3 Mg 0.246 0.246 0.888 1
Mg4 Mg 0.252 0.000 0.139 1
Mg5 Mg 0.500 0.000 0.490 1
Mg6 Mg 0.500 0.000 0.979 1
Mg7 Mg 0.500 0.247 0.732 1
B1 B 0.000 0.000 0.442 1
```

No. 2
For HfMn10B2, a DFT-relaxed cell (GGA-PBE, Alexandria) gives the theoretical PXRD pattern in this record (Cu Kα X-rays).
Kinematic intensities with the Lorentz-polarization factor, no thermal factor.

Peak list (12 most intense, 5 to 70 degrees two-theta, sorted by position)
| 2theta | I/Imax | h k l |
| --- | --- | --- |
| 22.28 | 141 | 2 0 0 |
| 22.90 | 209 | 0 0 2 |
| 27.40 | 139 | 1 1 2 |
| 32.18 | 341 | 2 2 1 |
| 34.08 | 140 | 1 3 1 |
| 37.10 | 168 | 3 1 1 |
| 40.24 | 638 | 0 4 0 |
| 42.39 | 458 | 3 1 2 |
| 45.45 | 261 | 4 0 0 |
| 46.46 | 1000 | 2 2 3 |
| 46.80 | 516 | 0 0 4 |
| 47.23 | 259 | 3 3 1 |

Structure:
```
data_HfMn10B2
_chemical_formula_sum 'Hf4 Mn40 B8'
_symmetry_space_group_name_H-M 'C m c m'
_symmetry_Int_Tables_number 63
_symmetry_space_group_name_Hall '-C 2c 2'
_cell_length_a 7.982
_cell_length_b 8.955
_cell_length_c 7.773
_cell_angle_alpha 90.00
_cell_angle_beta 90.00
_cell_angle_gamma 90.00
loop_
_atom_site_label
_atom_site_type_symbol
_atom_site_fract_x
_atom_site_fract_y
_atom_site_fract_z
_atom_site_occupancy
Hf1 Hf 0.000 0.116 0.250 1
Mn1 Mn 0.000 0.174 0.592 1
Mn2 Mn 0.000 0.381 0.062 1
Mn3 Mn 0.138 0.389 0.750 1
Mn4 Mn 0.222 0.000 0.000 1
Mn5 Mn 0.248 0.364 0.250 1
B1 B 0.250 0.250 0.000 1
```

No. 3
For Hf3B4Mo, a DFT-relaxed cell (GGA-PBE, Alexandria) gives the theoretical PXRD pattern in this record (Cu Kα X-rays).
Kinematic intensities with the Lorentz-polarization factor, no thermal factor.

Peak list (12 most intense, 5 to 70 degrees two-theta, sorted by position)
| 2theta | I/Imax | h k l |
| --- | --- | --- |
| 26.87 | 114 | 1 0 1 |
| 27.88 | 462 | 0 1 3 |
| 34.86 | 1000 | 1 1 2 |
| 36.59 | 288 | 0 2 0 |
| 42.88 | 127 | 0 0 6 |
| 42.99 | 140 | 1 1 4 |
| 44.44 | 169 | 1 0 5 |
| 53.28 | 113 | 2 0 0 |
| 57.60 | 108 | 0 2 6 |
| 58.88 | 131 | 1 2 5 |
| 64.76 | 165 | 1 3 2 |
| 67.96 | 191 | 1 1 8 |

Structure:
```
data_Hf3B4Mo
_chemical_formula_sum 'Hf6 B8 Mo2'
_symmetry_space_group_name_H-M 'I m m m'
_symmetry_Int_Tables_number 71
_symmetry_space_group_name_Hall '-I 2 2'
_cell_length_a 3.439
_cell_length_b 4.912
_cell_length_c 12.656
_cell_angle_alpha 90.00
_cell_angle_beta 90.00
_cell_angle_gamma 90.00
loop_
_atom_site_label
_atom_site_type_symbol
_atom_site_fract_x
_atom_site_fract_y
_atom_site_fract_z
_atom_site_occupancy
Hf1 Hf 0.000 0.000 0.000 1
Hf2 Hf 0.000 0.500 0.190 1
B1 B 0.000 0.328 0.371 1
Mo1 Mo 0.000 0.000 0.500 1
```

No. 4
For HfBMo, a DFT-relaxed cell (GGA-PBE, Alexandria) gives the theoretical PXRD pattern in this record (Cu Kα X-rays).
Kinematic intensities with the Lorentz-polarization factor, no thermal factor.

Peak list (12 most intense, 5 to 70 degrees two-theta, sorted by position)
| 2theta | I/Imax | h k l |
| --- | --- | --- |
| 27.65 | 189 | 2 0 -2 |
| 29.10 | 200 | 1 1 0 |
| 30.11 | 76 | 1 1 -1 |
| 35.65 | 344 | 2 0 1 |
| 36.98 | 160 | 1 1 1 |
| 38.72 | 104 | 4 0 -2 |
| 39.41 | 1000 | 3 1 -1 |
| 42.03 | 80 | 2 0 -3 |
| 45.29 | 88 | 4 0 -3 |
| 54.95 | 142 | 0 2 0 |
| 66.56 | 179 | 5 1 0 |
| 67.23 | 108 | 2 2 1 |

Structure:
```
data_HfBMo
_chemical_formula_sum 'Hf4 B4 Mo4'
_symmetry_space_group_name_H-M 'C 1 2/m 1'
_symmetry_Int_Tables_number 12
_symmetry_space_group_name_Hall '-C 2y'
_cell_length_a 9.460
_cell_length_b 3.342
_cell_length_c 6.514
_cell_angle_alpha 90.00
_cell_angle_beta 125.08
_cell_angle_gamma 90.00
loop_
_atom_site_label
_atom_site_type_symbol
_atom_site_fract_x
_atom_site_fract_y
_atom_site_fract_z
_atom_site_occupancy
Hf1 Hf 0.084 0.000 0.336 1
B1 B 0.113 0.500 0.647 1
Mo1 Mo 0.193 0.500 0.089 1
```

No. 5
For HfB6Mo2, a DFT-relaxed cell (GGA-PBE, Alexandria) gives the theoretical PXRD pattern in this record (Cu Kα X-rays).
Kinematic intensities with the Lorentz-polarization factor, no thermal factor.

Peak list (12 most intense, 5 to 70 degrees two-theta, sorted by position)
| 2theta | I/Imax | h k l |
| --- | --- | --- |
| 19.35 | 143 | 1 0 0 |
| 26.07 | 423 | 0 0 1 |
| 32.67 | 84 | 1 0 1 |
| 33.85 | 772 | 1 1 0 |
| 39.28 | 27 | 2 0 0 |
| 43.22 | 1000 | 1 1 1 |
| 47.76 | 31 | 2 0 1 |
| 53.63 | 96 | 0 0 2 |
| 59.81 | 33 | 2 1 1 |
| 60.55 | 198 | 3 0 0 |
| 64.95 | 235 | 1 1 2 |
| 67.05 | 191 | 3 0 1 |

Structure:
```
data_HfB6Mo2
_chemical_formula_sum 'Hf1 B6 Mo2'
_symmetry_space_group_name_H-M 'P 6/m m m'
_symmetry_Int_Tables_number 191
_symmetry_space_group_name_Hall '-P 6 2'
_cell_length_a 5.2969
_cell_length_b 5.2969
_cell_length_c 3.4176
_cell_angle_alpha 90.00
_cell_angle_beta 90.00
_cell_angle_gamma 120.00
loop_
_atom_site_label
_atom_site_type_symbol
_atom_site_fract_x
_atom_site_fract_y
_atom_site_fract_z
_atom_site_occupancy
Hf1 Hf 0.0000 0.0000 0.0000 1
B1 B 0.0000 0.3359 0.5000 1
Mo1 Mo 0.3333 0.6667 0.0000 1
```

No. 6
For NaHfB, a DFT-relaxed cell (GGA-PBE, Alexandria) gives the theoretical PXRD pattern in this record (Cu Kα X-rays).
Kinematic intensities with the Lorentz-polarization factor, no thermal factor.

Peak list (12 most intense, 5 to 70 degrees two-theta, sorted by position)
| 2theta | I/Imax | h k l |
| --- | --- | --- |
| 6.95 | 1000 | 0 0 1 |
| 20.94 | 85 | 0 0 3 |
| 28.05 | 126 | 0 0 4 |
| 32.56 | 210 | 0 1 -1 |
| 32.82 | 108 | 0 1 0 |
| 33.81 | 36 | -1 1 1 |
| 37.73 | 47 | 1 -1 3 |
| 41.71 | 44 | 0 1 3 |
| 41.85 | 43 | 1 0 -4 |
| 41.97 | 42 | 1 -1 4 |
| 57.94 | 77 | 2 -1 0 |
| 65.42 | 35 | -1 2 3 |

Structure:
```
data_NaHfB
_chemical_formula_sum 'Na2 Hf2 B2'
_symmetry_space_group_name_H-M 'P 1'
_symmetry_Int_Tables_number 1
_symmetry_space_group_name_Hall 'P 1'
_cell_length_a 3.184
_cell_length_b 3.184
_cell_length_c 12.847
_cell_angle_alpha 96.71
_cell_angle_beta 90.19
_cell_angle_gamma 120.00
loop_
_atom_site_label
_atom_site_type_symbol
_atom_site_fract_x
_atom_site_fract_y
_atom_site_fract_z
_atom_site_occupancy
Na1 Na 0.000 0.000 0.000 1
Na2 Na 0.423 0.862 0.262 1
Hf1 Hf 0.170 0.349 0.499 1
Hf2 Hf 0.257 0.517 0.762 1
B1 B 0.547 0.100 0.631 1
B2 B 0.880 0.766 0.631 1
```

No. 7
For HfNb2B4, a DFT-relaxed cell (GGA-PBE, Alexandria) gives the theoretical PXRD pattern in this record (Cu Kα X-rays).
Kinematic intensities with the Lorentz-polarization factor, no thermal factor.

Peak list (12 most intense, 5 to 70 degrees two-theta, sorted by position)
| 2theta | I/Imax | h k l |
| --- | --- | --- |
| 25.04 | 196 | 0 0 4 |
| 27.13 | 732 | 0 1 1 |
| 34.03 | 929 | 1 0 3 |
| 37.96 | 297 | 0 0 6 |
| 41.06 | 1000 | 1 1 2 |
| 41.50 | 623 | 0 1 5 |
| 46.89 | 262 | 1 1 4 |
| 53.58 | 153 | 1 0 7 |
| 54.31 | 166 | 0 2 0 |
| 58.23 | 134 | 2 0 0 |
| 65.66 | 326 | 1 2 3 |
| 66.33 | 271 | 1 1 8 |

Structure:
```
data_HfNb2B4
_chemical_formula_sum 'Hf2 Nb4 B8'
_symmetry_space_group_name_H-M 'I m m m'
_symmetry_Int_Tables_number 71
_symmetry_space_group_name_Hall '-I 2 2'
_cell_length_a 3.169
_cell_length_b 3.378
_cell_length_c 14.223
_cell_angle_alpha 90.00
_cell_angle_beta 90.00
_cell_angle_gamma 90.00
loop_
_atom_site_label
_atom_site_type_symbol
_atom_site_fract_x
_atom_site_fract_y
_atom_site_fract_z
_atom_site_occupancy
Hf1 Hf 0.000 0.000 0.000 1
Nb1 Nb 0.000 0.500 0.314 1
B1 B 0.000 0.000 0.435 1
B2 B 0.000 0.500 0.133 1
```

No. 8
For HfNb8B12, a DFT-relaxed cell (GGA-PBE, Alexandria) gives the theoretical PXRD pattern in this record (Cu Kα X-rays).
Kinematic intensities with the Lorentz-polarization factor, no thermal factor.

Peak list (12 most intense, 5 to 70 degrees two-theta, sorted by position)
| 2theta | I/Imax | h k l |
| --- | --- | --- |
| 25.13 | 116 | 0 0 12 |
| 27.44 | 620 | 0 1 3 |
| 34.11 | 973 | 1 0 9 |
| 38.09 | 303 | 0 0 18 |
| 41.33 | 1000 | 1 1 6 |
| 41.80 | 650 | 0 1 15 |
| 47.16 | 206 | 1 1 12 |
| 53.75 | 135 | 1 0 21 |
| 55.00 | 175 | 0 2 0 |
| 58.34 | 146 | 2 0 0 |
| 66.32 | 373 | 1 2 9 |
| 66.67 | 276 | 1 1 24 |

Structure:
```
data_HfNb8B12
_chemical_formula_sum 'Hf2 Nb16 B24'
_symmetry_space_group_name_H-M 'I m m m'
_symmetry_Int_Tables_number 71
_symmetry_space_group_name_Hall '-I 2 2'
_cell_length_a 3.163
_cell_length_b 3.339
_cell_length_c 42.526
_cell_angle_alpha 90.00
_cell_angle_beta 90.00
_cell_angle_gamma 90.00
loop_
_atom_site_label
_atom_site_type_symbol
_atom_site_fract_x
_atom_site_fract_y
_atom_site_fract_z
_atom_site_occupancy
Hf1 Hf 0.000 0.000 0.000 1
Nb1 Nb 0.000 0.000 0.333 1
Nb2 Nb 0.000 0.500 0.105 1
Nb3 Nb 0.000 0.500 0.228 1
Nb4 Nb 0.000 0.500 0.438 1
B1 B 0.000 0.000 0.145 1
B2 B 0.000 0.000 0.188 1
B3 B 0.000 0.000 0.478 1
B4 B 0.000 0.500 0.045 1
B5 B 0.000 0.500 0.289 1
B6 B 0.000 0.500 0.377 1
```

No. 9
For HfNbB, a DFT-relaxed cell (GGA-PBE, Alexandria) gives the theoretical PXRD pattern in this record (Cu Kα X-rays).
Kinematic intensities with the Lorentz-polarization factor, no thermal factor.

Peak list (12 most intense, 5 to 70 degrees two-theta, sorted by position)
| 2theta | I/Imax | h k l |
| --- | --- | --- |
| 18.78 | 109 | 1 0 1 |
| 29.15 | 134 | 1 1 1 |
| 30.97 | 475 | 0 0 2 |
| 31.11 | 1000 | 2 1 0 |
| 36.31 | 55 | 3 0 1 |
| 44.10 | 212 | 4 0 0 |
| 44.47 | 786 | 2 1 2 |
| 45.05 | 203 | 0 2 0 |
| 54.86 | 187 | 4 0 2 |
| 55.67 | 183 | 0 2 2 |
| 64.55 | 52 | 0 0 4 |
| 64.87 | 133 | 4 2 0 |

Structure:
```
data_HfNbB
_chemical_formula_sum 'Hf4 Nb4 B4'
_symmetry_space_group_name_H-M 'P n m a'
_symmetry_Int_Tables_number 62
_symmetry_space_group_name_Hall '-P 2ac 2n'
_cell_length_a 8.214
_cell_length_b 4.025
_cell_length_c 5.775
_cell_angle_alpha 90.00
_cell_angle_beta 90.00
_cell_angle_gamma 90.00
loop_
_atom_site_label
_atom_site_type_symbol
_atom_site_fract_x
_atom_site_fract_y
_atom_site_fract_z
_atom_site_occupancy
Hf1 Hf 0.130 0.250 0.021 1
Nb1 Nb 0.118 0.250 0.520 1
B1 B 0.127 0.750 0.262 1
```

No. 10
For HfNi12B5, a DFT-relaxed cell (GGA-PBE, Alexandria) gives the theoretical PXRD pattern in this record (Cu Kα X-rays).
Kinematic intensities with the Lorentz-polarization factor, no thermal factor.

Peak list (12 most intense, 5 to 70 degrees two-theta, sorted by position)
| 2theta | I/Imax | h k l |
| --- | --- | --- |
| 17.40 | 470 | 1 0 1 |
| 18.41 | 210 | 1 1 0 |
| 31.58 | 337 | 1 2 1 |
| 37.52 | 481 | 0 1 3 |
| 41.55 | 506 | 3 0 1 |
| 41.85 | 526 | 1 3 0 |
| 44.39 | 1000 | 2 2 2 |
| 46.30 | 669 | 1 2 3 |
| 47.35 | 179 | 0 0 4 |
| 48.51 | 590 | 3 1 2 |
| 49.64 | 360 | 2 3 1 |
| 53.68 | 144 | 0 4 0 |

Structure:
```
data_HfNi12B5
_chemical_formula_sum 'Hf2 Ni24 B10'
_symmetry_space_group_name_H-M 'I m m m'
_symmetry_Int_Tables_number 71
_symmetry_space_group_name_Hall '-I 2 2'
_cell_length_a 6.798
_cell_length_b 6.829
_cell_length_c 7.680
_cell_angle_alpha 90.00
_cell_angle_beta 90.00
_cell_angle_gamma 90.00
loop_
_atom_site_label
_atom_site_type_symbol
_atom_site_fract_x
_atom_site_fract_y
_atom_site_fract_z
_atom_site_occupancy
Hf1 Hf 0.000 0.000 0.000 1
Ni1 Ni 0.000 0.317 0.180 1
Ni2 Ni 0.182 0.282 0.500 1
Ni3 Ni 0.184 0.000 0.284 1
B1 B 0.000 0.000 0.500 1
B2 B 0.000 0.500 0.386 1
B3 B 0.140 0.500 0.000 1
```

No. 11
For HfNi22B6, a DFT-relaxed cell (GGA-PBE, Alexandria) gives the theoretical PXRD pattern in this record (Cu Kα X-rays).
Kinematic intensities with the Lorentz-polarization factor, no thermal factor.

Peak list (12 most intense, 5 to 70 degrees two-theta, sorted by position)
| 2theta | I/Imax | h k l |
| --- | --- | --- |
| 14.56 | 122 | 1 1 1 |
| 16.83 | 30 | 2 0 0 |
| 28.09 | 120 | 3 1 1 |
| 29.37 | 75 | 2 2 2 |
| 38.21 | 66 | 4 2 0 |
| 42.02 | 356 | 4 2 2 |
| 44.70 | 1000 | 3 3 3 |
| 48.91 | 229 | 4 4 0 |
| 51.31 | 87 | 5 3 1 |
| 52.09 | 152 | 6 0 0 |
| 55.14 | 46 | 6 2 0 |
| 57.35 | 46 | 5 3 3 |

Structure:
```
data_HfNi22B6
_chemical_formula_sum 'Hf4 Ni88 B24'
_symmetry_space_group_name_H-M 'F m -3 m'
_symmetry_Int_Tables_number 225
_symmetry_space_group_name_Hall '-F 4 2 3'
_cell_length_a 10.535
_cell_length_b 10.535
_cell_length_c 10.535
_cell_angle_alpha 90.00
_cell_angle_beta 90.00
_cell_angle_gamma 90.00
loop_
_atom_site_label
_atom_site_type_symbol
_atom_site_fract_x
_atom_site_fract_y
_atom_site_fract_z
_atom_site_occupancy
Hf1 Hf 0.000 0.000 0.000 1
Ni1 Ni 0.000 0.171 0.171 1
Ni2 Ni 0.117 0.117 0.383 1
Ni3 Ni 0.250 0.250 0.250 1
B1 B 0.000 0.000 0.271 1
```

No. 12
For Hf3NiB7, a DFT-relaxed cell (GGA-PBE, Alexandria) gives the theoretical PXRD pattern in this record (Cu Kα X-rays).
Kinematic intensities with the Lorentz-polarization factor, no thermal factor.

Peak list (12 most intense, 5 to 70 degrees two-theta, sorted by position)
| 2theta | I/Imax | h k l |
| --- | --- | --- |
| 23.26 | 348 | 0 2 2 |
| 27.91 | 716 | 1 1 0 |
| 31.47 | 1000 | 0 4 2 |
| 32.37 | 556 | 0 2 3 |
| 34.43 | 680 | 1 3 1 |
| 36.63 | 332 | 0 6 0 |
| 41.23 | 307 | 1 5 0 |
| 41.39 | 871 | 1 1 3 |
| 42.50 | 383 | 1 5 1 |
| 46.15 | 390 | 1 5 2 |
| 60.86 | 309 | 1 7 3 |
| 62.02 | 306 | 1 3 5 |

Structure:
```
data_Hf3NiB7
_chemical_formula_sum 'Hf12 Ni4 B28'
_symmetry_space_group_name_H-M 'C m c m'
_symmetry_Int_Tables_number 63
_symmetry_space_group_name_Hall '-C 2c 2'
_cell_length_a 3.275
_cell_length_b 14.721
_cell_length_c 8.953
_cell_angle_alpha 90.00
_cell_angle_beta 90.00
_cell_angle_gamma 90.00
loop_
_atom_site_label
_atom_site_type_symbol
_atom_site_fract_x
_atom_site_fract_y
_atom_site_fract_z
_atom_site_occupancy
Hf1 Hf 0.000 0.107 0.054 1
Hf2 Hf 0.000 0.246 0.750 1
Ni1 Ni 0.000 0.049 0.750 1
B1 B 0.000 0.274 0.034 1
B2 B 0.000 0.368 0.151 1
B3 B 0.000 0.439 0.750 1
B4 B 0.000 0.484 0.092 1
```